Starting from a structure optimized by DFT (GGA-PBE), the powder diffraction line list of Mg6Si5 was simulated for Cu Kα, 1.54184 Å.

Structure:
```
data_Mg6Si5
_cell_length_a 4.506
_cell_length_b 6.903
_cell_length_c 14.195
_cell_angle_alpha 89.46
_cell_angle_beta 83.29
_cell_angle_gamma 81.73
_space_group_name_H-M_alt 'P 1'
_space_group_IT_number 1
loop_
_space_group_symop_operation_xyz
'x,y,z'
loop_
_atom_site_label
_atom_site_type_symbol
_atom_site_fract_x
_atom_site_fract_y
_atom_site_fract_z
Mg1 Mg 0.000 0.000 0.000
Mg2 Mg 0.005 0.408 0.158
Mg3 Mg 0.131 0.565 0.932
Mg4 Mg 0.324 0.893 0.409
Mg5 Mg 0.374 0.417 0.463
Mg6 Mg 0.427 0.451 0.694
Mg7 Mg 0.521 0.710 0.084
Mg8 Mg 0.549 0.986 0.713
Mg9 Mg 0.748 0.686 0.549
Mg10 Mg 0.917 0.187 0.562
Mg11 Mg 0.938 0.905 0.227
Mg12 Mg 0.954 0.240 0.794
Si1 Si 0.142 0.830 0.637
Si2 Si 0.427 0.591 0.270
Si3 Si 0.446 0.168 0.884
Si4 Si 0.450 0.232 0.284
Si5 Si 0.458 0.092 0.129
Si6 Si 0.594 0.341 0.017
Si7 Si 0.598 0.814 0.900
Si8 Si 0.864 0.636 0.760
Si9 Si 0.868 0.596 0.360
Si10 Si 0.925 0.224 0.363
```

The 12 most intense peaks (2θ = 10–80°), by intensity:
2θ/deg	I/Imax
36.48	100
35.68	63
37.16	59
39.86	57
40.74	56
30.85	46
41.33	42
39.13	40
32.40	36
40.49	34
35.54	33
41.75	31